No. 1
This entry pairs a crystal structure of Be2Ag2GeO6 with its theoretical powder diffraction line list. Radiation: Cu Kα. Structure: a PBE-relaxed structure.
Neutral-atom scattering factors, no anomalous dispersion.

Largest 10 diffraction maxima, by angle, 5 to 70 degrees two-theta:
25.71°, rel. 100, (0 1 1); 35.23°, rel. 44, (1 1 0); 38.08°, rel. 52, (1 0 2); 38.84°, rel. 8, (1 1 1); 44.12°, rel. 34, (2 0 1); 52.84°, rel. 16, (0 2 2); 57.68°, rel. 22, (3 -2 1); 61.62°, rel. 21, (1 1 3); 63.22°, rel. 13, (3 0 0); 65.11°, rel. 19, (3 -1 2)

Structure:
```
data_Be2Ag2GeO6
_space_group_name_H-M_alt 'P -3'
_space_group_IT_number 147
_cell_length_a 5.0952
_cell_length_b 5.0952
_cell_length_c 5.5966
_cell_angle_alpha 90.00
_cell_angle_beta 90.00
_cell_angle_gamma 120.00
loop_
_space_group_symop_operation_xyz
'x,y,z'
'-x,-y,-z'
'-y,x-y,z'
'y,-x+y,-z'
'-x+y,-x,z'
'x-y,x,-z'
loop_
_atom_site_label
_atom_site_fract_x
_atom_site_fract_y
_atom_site_fract_z
_atom_site_occupancy
Be1 0.3333 0.6667 0.3334 1
Ag1 0.3333 0.6667 0.8514 1
Ge1 0.0000 0.0000 0.5000 1
O1 0.0733 0.7364 0.3024 1
```


No. 2
This entry pairs a crystal structure of BeAgI4 with its theoretical powder diffraction line list. Radiation: Cu Kα. Structure: a PBE-relaxed structure.
Neutral-atom scattering factors, no anomalous dispersion.

Largest 10 diffraction maxima, by angle, 5 to 70 degrees two-theta:
11.41°, rel. 14, (1 0 0); 17.83°, rel. 100, (0 0 2); 22.94°, rel. 38, (2 0 0); 29.21°, rel. 42, (2 0 2); 32.67°, rel. 39, (2 2 0); 36.11°, rel. 17, (0 0 4); 37.46°, rel. 55, (2 2 2); 43.21°, rel. 14, (2 0 4); 49.48°, rel. 24, (2 2 4); 50.54°, rel. 24, (4 0 2)

Structure:
```
data_BeAgI4
_space_group_name_H-M_alt 'P 42/m m c'
_space_group_IT_number 131
_space_group_name_Hall '-P 4c 2'
_cell_length_a 7.7539
_cell_length_b 7.7539
_cell_length_c 9.9492
_cell_angle_alpha 90.00
_cell_angle_beta 90.00
_cell_angle_gamma 90.00
loop_
_atom_site_label
_atom_site_fract_x
_atom_site_fract_y
_atom_site_fract_z
_atom_site_occupancy
Be1 0.0000 0.5000 0.0000 1
Ag1 0.0000 0.0000 0.0000 1
I1 0.2323 0.2745 0.0000 1
```


No. 3
This entry pairs a crystal structure of BeAgI3 with its theoretical powder diffraction line list. Radiation: Cu Kα. Structure: a PBE-relaxed structure.
Neutral-atom scattering factors, no anomalous dispersion.

Largest 10 diffraction maxima, by angle, 5 to 70 degrees two-theta:
7.98°, rel. 94, (0 0 1); 18.36°, rel. 64, (1 0 -2); 24.10°, rel. 61, (0 0 3); 25.99°, rel. 59, (1 1 1); 26.96°, rel. 52, (0 1 2); 31.08°, rel. 65, (2 1 0); 31.46°, rel. 100, (2 1 -1); 32.32°, rel. 41, (0 0 4); 41.35°, rel. 65, (2 1 3); 43.41°, rel. 55, (2 1 -4)

Structure:
```
data_BeAgI3
_space_group_name_H-M_alt 'P 1 21/m 1'
_space_group_IT_number 11
_cell_length_a 8.0925
_cell_length_b 4.1234
_cell_length_c 11.1545
_cell_angle_alpha 90.00
_cell_angle_beta 96.69
_cell_angle_gamma 90.00
loop_
_space_group_symop_operation_xyz
'x,y,z'
'-x,-y,-z'
'-x,y+1/2,-z'
'x,-y+1/2,z'
loop_
_atom_site_label
_atom_site_fract_x
_atom_site_fract_y
_atom_site_fract_z
_atom_site_occupancy
Be1 0.1997 0.2500 0.2839 1
Ag1 0.3203 0.2500 0.8717 1
I1 0.0675 0.7500 0.8344 1
I2 0.2365 0.7500 0.4102 1
I3 0.4134 0.2500 0.1443 1
```


No. 4
This entry pairs a crystal structure of BeIn2Ag with its theoretical powder diffraction line list. Radiation: Cu Kα. Structure: a PBE-relaxed structure.
Neutral-atom scattering factors, no anomalous dispersion.

Largest 10 diffraction maxima, by angle, 5 to 70 degrees two-theta:
20.31°, rel. 10, (0 0 2); 23.40°, rel. 31, (1 0 1); 29.93°, rel. 8, (1 1 0); 36.44°, rel. 100, (1 1 2); 37.49°, rel. 9, (1 0 3); 41.30°, rel. 17, (0 0 4); 42.84°, rel. 31, (2 0 0); 49.39°, rel. 8, (2 1 1); 61.02°, rel. 21, (2 0 4); 62.20°, rel. 10, (2 2 0)

Structure:
```
data_BeIn2Ag
_space_group_name_H-M_alt 'I -4 m 2'
_space_group_IT_number 119
_space_group_name_Hall 'I -4 -2'
_cell_length_a 4.2215
_cell_length_b 4.2215
_cell_length_c 8.7447
_cell_angle_alpha 90.00
_cell_angle_beta 90.00
_cell_angle_gamma 90.00
loop_
_atom_site_label
_atom_site_fract_x
_atom_site_fract_y
_atom_site_fract_z
_atom_site_occupancy
Be1 0.0000 0.0000 0.0000 1
In1 0.0000 0.0000 0.5000 1
In2 0.0000 0.5000 0.7500 1
Ag1 0.0000 0.5000 0.2500 1
```


No. 5
This entry pairs a crystal structure of Be2InAg with its theoretical powder diffraction line list. Radiation: Cu Kα. Structure: a PBE-relaxed structure.
Neutral-atom scattering factors, no anomalous dispersion.

Largest 10 diffraction maxima, by angle, 5 to 70 degrees two-theta:
18.57°, rel. 7, (0 0 2); 22.77°, rel. 75, (0 1 1); 32.11°, rel. 54, (1 0 1); 35.12°, rel. 59, (0 1 3); 37.65°, rel. 27, (0 0 4); 42.00°, rel. 100, (1 1 2); 42.24°, rel. 24, (0 2 0); 54.03°, rel. 30, (1 2 1); 57.68°, rel. 16, (1 0 5); 57.86°, rel. 17, (0 2 4)

Structure:
```
data_Be2InAg
_space_group_name_H-M_alt 'I m m 2'
_space_group_IT_number 44
_cell_length_a 2.9147
_cell_length_b 4.2792
_cell_length_c 9.5556
_cell_angle_alpha 90.00
_cell_angle_beta 90.00
_cell_angle_gamma 90.00
loop_
_space_group_symop_operation_xyz
'x,y,z'
'-x,-y,z'
'-x,y,z'
'x,-y,z'
'x+1/2,y+1/2,z+1/2'
'-x+1/2,-y+1/2,z+1/2'
'-x+1/2,y+1/2,z+1/2'
'x+1/2,-y+1/2,z+1/2'
loop_
_atom_site_label
_atom_site_fract_x
_atom_site_fract_y
_atom_site_fract_z
_atom_site_occupancy
Be1 0.0000 0.0000 0.0000 1
Be2 0.0000 0.5000 0.3108 1
In1 0.0000 0.5000 0.7859 1
Ag1 0.0000 0.0000 0.5715 1
```


No. 6
This entry pairs a crystal structure of KBe2Ag2 with its theoretical powder diffraction line list. Radiation: Cu Kα. Structure: a PBE-relaxed structure.
Neutral-atom scattering factors, no anomalous dispersion.

Largest 10 diffraction maxima, by angle, 5 to 70 degrees two-theta:
22.44°, rel. 15, (2 0 0); 25.13°, rel. 100, (2 1 0); 31.95°, rel. 12, (2 2 0); 32.46°, rel. 33, (0 0 1); 35.84°, rel. 36, (3 1 0); 41.49°, rel. 62, (2 1 1); 47.31°, rel. 23, (4 1 0); 49.12°, rel. 25, (3 1 1); 58.54°, rel. 21, (4 1 1); 59.81°, rel. 11, (3 3 1)

Structure:
```
data_KBe2Ag2
_space_group_name_H-M_alt 'P 4/m b m'
_space_group_IT_number 127
_space_group_name_Hall '-P 4 2ab'
_cell_length_a 7.9227
_cell_length_b 7.9227
_cell_length_c 2.7586
_cell_angle_alpha 90.00
_cell_angle_beta 90.00
_cell_angle_gamma 90.00
loop_
_atom_site_label
_atom_site_fract_x
_atom_site_fract_y
_atom_site_fract_z
_atom_site_occupancy
K1 0.0000 0.0000 0.0000 1
Be1 0.1042 0.3958 0.5000 1
Ag1 0.1700 0.6700 0.0000 1
```


No. 7
This entry pairs a crystal structure of K4BeAg with its theoretical powder diffraction line list. Radiation: Cu Kα. Structure: a PBE-relaxed structure.
Neutral-atom scattering factors, no anomalous dispersion.

Largest 10 diffraction maxima, by angle, 5 to 70 degrees two-theta:
14.56°, rel. 26, (1 1 1); 16.82°, rel. 27, (2 0 0); 23.88°, rel. 32, (2 2 0); 28.08°, rel. 100, (3 1 1); 29.35°, rel. 34, (2 2 2); 38.19°, rel. 15, (4 2 0); 41.99°, rel. 14, (4 2 2); 44.67°, rel. 35, (3 3 3); 48.88°, rel. 23, (4 4 0); 68.36°, rel. 20, (7 3 1)

Structure:
```
data_K4BeAg
_space_group_name_H-M_alt 'F -4 3 m'
_space_group_IT_number 216
_space_group_name_Hall 'F -4 2 3'
_cell_length_a 10.5399
_cell_length_b 10.5399
_cell_length_c 10.5399
_cell_angle_alpha 90.00
_cell_angle_beta 90.00
_cell_angle_gamma 90.00
loop_
_atom_site_label
_atom_site_fract_x
_atom_site_fract_y
_atom_site_fract_z
_atom_site_occupancy
K1 0.1247 0.1247 0.1247 1
Be1 0.0000 0.0000 0.5000 1
Ag1 0.2500 0.2500 0.7500 1
```


No. 8
This entry pairs a crystal structure of KBeAgO2 with its theoretical powder diffraction line list. Radiation: Cu Kα. Structure: a PBE-relaxed structure.
Neutral-atom scattering factors, no anomalous dispersion.

Largest 10 diffraction maxima, by angle, 5 to 70 degrees two-theta:
15.71°, rel. 46, (0 0 1); 15.94°, rel. 94, (0 2 0); 22.45°, rel. 100, (0 2 1); 32.20°, rel. 38, (0 4 0); 35.69°, rel. 55, (0 2 2); 36.01°, rel. 26, (0 4 1); 36.28°, rel. 40, (2 0 0); 39.80°, rel. 28, (2 0 1); 43.08°, rel. 44, (2 2 1); 51.81°, rel. 30, (2 2 2)

Structure:
```
data_KBeAgO2
_space_group_name_H-M_alt 'C m m e'
_space_group_IT_number 67
_space_group_name_Hall '-C 2a 2'
_cell_length_a 4.9527
_cell_length_b 11.1209
_cell_length_c 5.6416
_cell_angle_alpha 90.00
_cell_angle_beta 90.00
_cell_angle_gamma 90.00
loop_
_atom_site_label
_atom_site_fract_x
_atom_site_fract_y
_atom_site_fract_z
_atom_site_occupancy
K1 0.0000 0.2500 0.1965 1
Be1 0.2500 0.0000 0.0000 1
Ag1 0.0000 0.0000 0.5000 1
O1 0.0000 0.0767 0.8495 1
```